No. 1
Structure and simulated powder X-ray diffraction pattern of Tb5Te5Ir (a crystal structure in Alexandria, relaxed with GGA-PBE; Cu Kα X-rays).
No peak broadening, texture or thermal motion is included.

Main lines, by angle (2θ = 10–90°):
d (Å), two_theta, Rel. int.
8.123, 10.89, 16
5.577, 15.89, 16
3.084, 28.95, 100
3.035, 29.43, 47
2.181, 41.41, 51
2.163, 41.77, 36
2.148, 42.06, 17
1.780, 51.33, 17
1.762, 51.88, 19
1.379, 67.97, 14

Lattice parameters (Å, degrees): 7.574 7.574 8.593 107.34 107.34 48.03
Fractional coordinates of all 11 atoms:
Tb1 0.000 0.000 0.000
Tb2 0.351 0.351 0.693
Tb3 0.352 0.352 0.150
Tb4 0.648 0.648 0.850
Tb5 0.649 0.649 0.307
Te1 0.166 0.166 0.825
Te2 0.182 0.182 0.333
Te3 0.500 0.500 0.500
Te4 0.818 0.818 0.667
Te5 0.834 0.834 0.175
Ir1 0.500 0.500 0.000

No. 2
Structure and simulated powder X-ray diffraction pattern of Na3Cu4PbCl12 (a crystal structure in Alexandria, relaxed with GGA-PBE; Cu Kα X-rays).
No peak broadening, texture or thermal motion is included.

Main lines, by angle (2θ = 10–90°):
d (Å), two_theta, Rel. int.
8.016, 11.04, 51
6.789, 13.04, 30
4.118, 21.58, 36
4.008, 22.18, 100
3.451, 25.81, 39
3.126, 28.56, 35
2.484, 36.17, 40
2.420, 37.15, 29
1.923, 47.28, 23
1.883, 48.34, 28

Lattice parameters (Å, degrees): 8.648 8.648 8.648 103.45 103.45 103.45
Fractional coordinates of all 20 atoms:
Na1 0.000 0.558 0.442
Na2 0.442 0.000 0.558
Na3 0.558 0.442 0.000
Cu1 0.063 0.500 0.937
Cu2 0.500 0.500 0.500
Cu3 0.500 0.937 0.063
Cu4 0.937 0.063 0.500
Pb1 0.000 0.000 0.000
Cl1 0.023 0.676 0.799
Cl2 0.099 0.901 0.500
Cl3 0.201 0.324 0.977
Cl4 0.324 0.977 0.201
Cl5 0.340 0.660 0.500
Cl6 0.500 0.099 0.901
Cl7 0.500 0.340 0.660
Cl8 0.660 0.500 0.340
Cl9 0.676 0.799 0.023
Cl10 0.799 0.023 0.676
Cl11 0.901 0.500 0.099
Cl12 0.977 0.201 0.324

No. 3
Structure and simulated powder X-ray diffraction pattern of La6ErMg5 (a crystal structure in Alexandria, relaxed with GGA-PBE; Cu Kα X-rays).
No peak broadening, texture or thermal motion is included.

Main lines, by angle (2θ = 10–90°):
d (Å), two_theta, Rel. int.
3.994, 22.26, 22
3.967, 22.41, 11
2.831, 31.60, 20
2.815, 31.79, 100
1.997, 45.42, 15
1.631, 56.40, 15
1.625, 56.63, 23
1.622, 56.77, 8
1.407, 66.42, 12
1.262, 75.31, 8

Lattice parameters (Å, degrees): 5.634 7.933 8.950 90.00 108.36 90.00
Fractional coordinates of all 12 atoms:
La1 0.000 0.240 0.000
La2 0.000 0.760 0.000
La3 0.332 0.247 0.662
La4 0.332 0.753 0.662
La5 0.668 0.247 0.338
La6 0.668 0.753 0.338
Er1 0.500 0.500 0.000
Mg1 0.160 0.500 0.323
Mg2 0.166 0.000 0.334
Mg3 0.500 0.000 0.000
Mg4 0.834 0.000 0.666
Mg5 0.840 0.500 0.677

No. 4
Structure and simulated powder X-ray diffraction pattern of Ga4Si (a crystal structure in Alexandria, relaxed with GGA-PBE; Cu Kα X-rays).
No peak broadening, texture or thermal motion is included.

Main lines, by angle (2θ = 10–90°):
d (Å), two_theta, Rel. int.
4.863, 18.24, 4
3.439, 25.91, 3
2.808, 31.87, 100
2.432, 36.97, 74
2.175, 41.52, 2
1.719, 53.28, 50
1.466, 63.44, 40
1.404, 66.62, 17
1.216, 78.70, 8
1.116, 87.42, 16

Lattice parameters (Å, degrees): 4.863 4.863 4.863 90.00 90.00 90.00
Fractional coordinates of all 5 atoms:
Ga1 0.000 0.000 0.000
Ga2 0.000 0.500 0.500
Ga3 0.500 0.000 0.500
Ga4 0.500 0.500 0.000
Si1 0.500 0.500 0.500

No. 5
Structure and simulated powder X-ray diffraction pattern of Mn2ZnAu (a crystal structure in Alexandria, relaxed with GGA-PBE; Cu Kα X-rays).
No peak broadening, texture or thermal motion is included.

Main lines, by angle (2θ = 10–90°):
d (Å), two_theta, Rel. int.
6.013, 14.73, 58
2.799, 31.97, 34
2.770, 32.31, 33
2.222, 40.61, 100
2.179, 41.44, 91
2.166, 41.71, 90
2.084, 43.42, 19
1.277, 74.26, 31
1.269, 74.83, 31
1.245, 76.51, 26

Lattice parameters (Å, degrees): 3.122 3.163 6.013 90.00 90.00 90.00
Fractional coordinates of all 4 atoms:
Mn1 0.000 0.000 0.000
Mn2 0.500 0.500 0.204
Zn1 0.000 0.000 0.456
Au1 0.500 0.500 0.723

No. 6
Structure and simulated powder X-ray diffraction pattern of Sr2YIn12Ni3 (a crystal structure in Alexandria, relaxed with GGA-PBE; Cu Kα X-rays).
No peak broadening, texture or thermal motion is included.

Main lines, by angle (2θ = 10–90°):
d (Å), two_theta, Rel. int.
3.967, 22.41, 34
2.928, 30.53, 100
2.869, 31.18, 70
2.736, 32.74, 50
2.621, 34.22, 24
2.506, 35.84, 38
2.335, 38.55, 50
1.733, 52.84, 28
1.598, 57.69, 22
1.564, 59.05, 48

Lattice parameters (Å, degrees): 8.665 8.665 8.665 65.23 65.23 65.23
Fractional coordinates of all 18 atoms:
Sr1 0.087 0.087 0.087
Sr2 0.913 0.913 0.913
Y1 0.500 0.500 0.500
In1 0.056 0.656 0.656
In2 0.225 0.225 0.607
In3 0.225 0.607 0.225
In4 0.344 0.344 0.944
In5 0.344 0.944 0.344
In6 0.393 0.775 0.775
In7 0.607 0.225 0.225
In8 0.656 0.056 0.656
In9 0.656 0.656 0.056
In10 0.775 0.393 0.775
In11 0.775 0.775 0.393
In12 0.944 0.344 0.344
Ni1 0.000 0.500 0.500
Ni2 0.500 0.000 0.500
Ni3 0.500 0.500 0.000

No. 7
Structure and simulated powder X-ray diffraction pattern of SmIn2Bi2 (a crystal structure in Alexandria, relaxed with GGA-PBE; Cu Kα X-rays).
No peak broadening, texture or thermal motion is included.

Main lines, by angle (2θ = 10–90°):
d (Å), two_theta, Rel. int.
3.009, 29.69, 100
2.664, 33.65, 72
2.555, 35.13, 65
2.128, 42.49, 38
1.691, 54.23, 18
1.662, 55.27, 18
1.635, 56.28, 17
1.609, 57.26, 16
1.504, 61.65, 12
1.346, 69.91, 17

Lattice parameters (Å, degrees): 6.030 6.016 8.623 90.00 106.94 90.00
Fractional coordinates of all 10 atoms:
Sm1 0.000 0.000 0.000
Sm2 0.500 0.500 0.000
In1 0.185 0.000 0.394
In2 0.315 0.500 0.606
In3 0.685 0.500 0.394
In4 0.815 0.000 0.606
Bi1 0.086 0.500 0.198
Bi2 0.414 0.000 0.802
Bi3 0.586 0.000 0.198
Bi4 0.914 0.500 0.802

No. 8
Structure and simulated powder X-ray diffraction pattern of UNbB4 (a crystal structure in Alexandria, relaxed with GGA-PBE; Cu Kα X-rays).
No peak broadening, texture or thermal motion is included.

Main lines, by angle (2θ = 10–90°):
d (Å), two_theta, Rel. int.
6.332, 13.99, 36
3.166, 28.19, 47
3.072, 29.07, 100
2.533, 35.44, 74
2.111, 42.84, 79
1.978, 45.88, 39
1.583, 58.29, 24
1.536, 60.26, 28
1.407, 66.44, 21
1.342, 70.10, 21

Lattice parameters (Å, degrees): 3.166 3.166 12.664 90.00 90.00 90.00
Fractional coordinates of all 12 atoms:
U1 0.000 0.000 0.000
U2 0.500 0.500 0.500
Nb1 0.000 0.500 0.750
Nb2 0.500 0.000 0.250
B1 0.000 0.000 0.387
B2 0.000 0.000 0.613
B3 0.000 0.500 0.173
B4 0.000 0.500 0.327
B5 0.500 0.000 0.673
B6 0.500 0.000 0.827
B7 0.500 0.500 0.113
B8 0.500 0.500 0.887